# 1
Cs3Fe2Cl9: calculated powder diffractogram (Cu Kα X-rays), based on the PBE geometry in the Materials Project.
Lines closer than 0.1° are merged.

Peak list (10 most intense, 10° ≤ 2θ ≤ 80°, by angle)
2theta  I (rel.)
16.81  435
20.07  367
23.78  1000
23.93  428
29.26  732
29.51  423
31.31  879
33.99  800
41.85  340
48.67  507

Structure:
```
Cs3Fe2Cl9
1.0
7.483 0.000 0.000
-3.742 6.481 0.000
0.000 0.000 18.159
Cs Fe Cl
6 4 18
Direct
0.000 0.000 0.250
0.000 0.000 0.750
0.333 0.667 0.083
0.333 0.667 0.417
0.667 0.333 0.583
0.667 0.333 0.917
0.333 0.667 0.654
0.333 0.667 0.846
0.667 0.333 0.154
0.667 0.333 0.346
0.041 0.521 0.750
0.180 0.360 0.592
0.180 0.360 0.908
0.180 0.820 0.592
0.180 0.820 0.908
0.360 0.180 0.092
0.360 0.180 0.408
0.479 0.521 0.750
0.479 0.959 0.750
0.521 0.041 0.250
0.521 0.479 0.250
0.640 0.820 0.592
0.640 0.820 0.908
0.820 0.180 0.092
0.820 0.180 0.408
0.820 0.640 0.092
0.820 0.640 0.408
0.959 0.479 0.250
```

---

# 2
RbGaS2: calculated powder diffractogram (Cu Kα X-rays), based on the PBE geometry in the Materials Project.
Lines closer than 0.1° are merged.

Peak list (10 most intense, 10° ≤ 2θ ≤ 80°, by angle)
2theta  I (rel.)
23.08  184
23.76  355
25.15  175
26.46  230
31.22  1000
38.01  157
44.94  143
48.25  299
54.00  317
58.60  304

Structure:
```
RbGaS2
1.0
5.336 -5.332 0.000
5.336 5.332 0.000
-2.669 0.000 15.412
Rb Ga S
8 8 16
Direct
0.151 0.776 0.606
0.224 0.348 0.894
0.224 0.849 0.894
0.348 0.224 0.394
0.652 0.776 0.606
0.776 0.151 0.106
0.776 0.652 0.106
0.849 0.224 0.394
0.087 0.708 0.332
0.292 0.421 0.168
0.292 0.913 0.168
0.421 0.292 0.668
0.579 0.708 0.332
0.708 0.087 0.832
0.708 0.579 0.832
0.913 0.292 0.668
0.059 0.434 0.250
0.059 0.941 0.250
0.145 0.271 0.581
0.269 0.645 0.077
0.271 0.145 0.081
0.355 0.731 0.423
0.434 0.059 0.750
0.434 0.566 0.750
0.566 0.434 0.250
0.566 0.941 0.250
0.645 0.269 0.577
0.729 0.855 0.919
0.731 0.355 0.923
0.855 0.729 0.419
0.941 0.059 0.750
0.941 0.566 0.750
```

---

# 3
MgBr2O6: calculated powder diffractogram (Cu Kα X-rays), based on the PBE geometry in the Materials Project.
Lines closer than 0.1° are merged.

Peak list (10 most intense, 10° ≤ 2θ ≤ 80°, by angle)
2theta  I (rel.)
16.03  1000
18.57  289
19.10  237
27.66  465
28.97  214
31.42  281
32.97  160
34.67  238
35.36  192
36.24  166

Structure:
```
MgBr2O6
1.0
4.935 -2.857 0.000
4.935 2.857 0.000
-2.955 0.000 5.529
Mg Br O
1 2 6
Direct
0.000 0.000 0.000
0.357 0.357 0.097
0.643 0.643 0.903
0.238 0.706 0.218
0.243 0.243 0.231
0.294 0.762 0.782
0.706 0.238 0.218
0.757 0.757 0.769
0.762 0.294 0.782
```